No. 1
Starting from DFT lattice parameters and positions (GGA-PBE), the X-ray diffraction stick pattern of Pa2B3Ir5 was calculated for Cu Kα (weighted mean of Kα1 and Kα2).
Lines closer than 0.1° are merged.

Cell: 8.758 12.316 5.531 Å, 90.00 90.00 90.00°
Space group Ibam (No. 72)
One atom of each set of equivalent atoms:
Pa  0.230  0.125  0.000 (multiplicity 8)
B  0.000  0.000  0.250 (multiplicity 4)
B  0.127  0.392  0.000 (multiplicity 8)
Ir  0.000  0.281  0.250 (multiplicity 8)
Ir  0.000  0.500  0.250 (multiplicity 4)
Ir  0.124  0.112  0.500 (multiplicity 8)

Main lines, sorted by position (2θ from 15° to 90°):
2θ = 23.91°, intensity 23; 2θ = 31.49°, intensity 47; 2θ = 34.80°, intensity 57; 2θ = 35.64°, intensity 92; 2θ = 37.79°, intensity 97; 2θ = 37.95°, intensity 55; 2θ = 38.50°, intensity 89; 2θ = 44.01°, intensity 100; 2θ = 57.35°, intensity 25; 2θ = 59.39°, intensity 37

No. 2
Starting from DFT lattice parameters and positions (GGA-PBE), the X-ray diffraction stick pattern of CeHo15Tm4 was calculated for Cu Kα (weighted mean of Kα1 and Kα2).
Lines closer than 0.1° are merged.

Cell: 4.971 4.971 24.869 Å, 90.00 90.00 90.00°
Space group P4/mmm (No. 123)
One atom of each set of equivalent atoms:
Ce  0.000  0.000  0.000 (multiplicity 1)
Ho  0.000  0.500  0.100 (multiplicity 4)
Ho  0.000  0.500  0.300 (multiplicity 4)
Ho  0.000  0.500  0.500 (multiplicity 2)
Ho  0.500  0.500  0.000 (multiplicity 1)
Ho  0.500  0.500  0.201 (multiplicity 2)
Ho  0.500  0.500  0.400 (multiplicity 2)
Tm  0.000  0.000  0.200 (multiplicity 2)
Tm  0.000  0.000  0.400 (multiplicity 2)

Main lines, sorted by position (2θ from 15° to 90°):
2θ = 31.16°, intensity 100; 2θ = 36.13°, intensity 51; 2θ = 52.03°, intensity 36; 2θ = 61.90°, intensity 43; 2θ = 64.98°, intensity 12; 2θ = 76.67°, intensity 6; 2θ = 85.05°, intensity 18; 2θ = 87.81°, intensity 17

No. 3
Starting from DFT lattice parameters and positions (GGA-PBE), the X-ray diffraction stick pattern of K4As3 was calculated for Cu Kα (weighted mean of Kα1 and Kα2).
Lines closer than 0.1° are merged.

Cell: 6.3092 6.3092 6.0244 Å, 90.00 90.00 120.00°
Space group P6/mmm (No. 191)
One atom of each set of equivalent atoms:
K  0.0000  0.0000  0.2374 (multiplicity 2)
K  0.3333  0.6667  0.5000 (multiplicity 2)
As  0.0000  0.5000  0.0000 (multiplicity 3)

Main lines, sorted by position (2θ from 15° to 90°):
2θ = 29.66°, intensity 20; 2θ = 32.03°, intensity 42; 2θ = 32.78°, intensity 62; 2θ = 33.98°, intensity 60; 2θ = 36.10°, intensity 100; 2θ = 53.82°, intensity 29; 2θ = 56.91°, intensity 21; 2θ = 58.52°, intensity 22; 2θ = 69.43°, intensity 13; 2θ = 70.72°, intensity 13

No. 4
Starting from DFT lattice parameters and positions (GGA-PBE), the X-ray diffraction stick pattern of Tb3HfN4 was calculated for Cu Kα (weighted mean of Kα1 and Kα2).
Lines closer than 0.1° are merged.

Cell: 6.851 9.638 3.402 Å, 90.00 90.00 90.00°
Space group Cmmm (No. 65)
One atom of each set of equivalent atoms:
Tb  0.000  0.000  0.000 (multiplicity 2)
Tb  0.250  0.250  0.500 (multiplicity 4)
Hf  0.000  0.500  0.000 (multiplicity 2)
N  0.000  0.262  0.000 (multiplicity 4)
N  0.231  0.500  0.500 (multiplicity 4)

Main lines, sorted by position (2θ from 15° to 90°):
2θ = 32.06°, intensity 72; 2θ = 32.21°, intensity 71; 2θ = 37.27°, intensity 100; 2θ = 53.50°, intensity 11; 2θ = 53.75°, intensity 45; 2θ = 53.90°, intensity 11; 2θ = 63.84°, intensity 21; 2θ = 64.08°, intensity 42; 2θ = 67.04°, intensity 11; 2θ = 67.39°, intensity 11

What did the first record say?
Starting from DFT lattice parameters and positions (GGA-PBE), the X-ray diffraction stick pattern of Pa2B3Ir5 was calculated for Cu Kα (weighted mean of Kα1 and Kα2).
Lines closer than 0.1° are merged.

Cell: 8.758 12.316 5.531 Å, 90.00 90.00 90.00°
Space group Ibam (No. 72)
One atom of each set of equivalent atoms:
Pa  0.230  0.125  0.000 (multiplicity 8)
B  0.000  0.000  0.250 (multiplicity 4)
B  0.127  0.392  0.000 (multiplicity 8)
Ir  0.000  0.281  0.250 (multiplicity 8)
Ir  0.000  0.500  0.250 (multiplicity 4)
Ir  0.124  0.112  0.500 (multiplicity 8)

Main lines, sorted by position (2θ from 15° to 90°):
2θ = 23.91°, intensity 23; 2θ = 31.49°, intensity 47; 2θ = 34.80°, intensity 57; 2θ = 35.64°, intensity 92; 2θ = 37.79°, intensity 97; 2θ = 37.95°, intensity 55; 2θ = 38.50°, intensity 89; 2θ = 44.01°, intensity 100; 2θ = 57.35°, intensity 25; 2θ = 59.39°, intensity 37